This entry pairs a crystal structure of BePb2WO6 with its calculated powder diffractogram. Radiation: λ = 1.5418 Å (Cu Kα). Structure: a cell relaxed with GGA+U.
No peak broadening, texture or thermal motion is included.

Structural model:
a b c (Å): 9.321 5.712 6.722
angles (deg): 90.00 132.63 90.00
Space group Cm (No. 8)
Symmetry-distinct sites (fractional):
Be 0.000 0.000 0.000
Pb 0.211 0.500 0.103
Pb 0.221 0.000 0.695
W 0.494 0.000 0.359
O 0.007 0.255 0.146
O 0.195 0.000 0.034
O 0.267 0.500 0.673
O 0.448 0.247 0.494

Peak list (8 most intense, 10 to 80 degrees two-theta, by intensity)
- (1 1 1), 2θ = 32.62°, I 100
- (3 1 -1), 2θ = 33.91°, I 81
- (2 0 -2), 2θ = 26.57°, I 66
- (0 2 0), 2θ = 31.32°, I 59
- (2 2 -2), 2θ = 41.52°, I 54
- (1 1 -1), 2θ = 20.42°, I 45
- (2 0 -1), 2θ = 19.05°, I 43
- (1 1 -2), 2θ = 32.98°, I 40